Record 1
Structure and simulated powder diffraction line list of La2Pm3Pr (a GGA-PBE-relaxed structure; copper Kα).
Intensities are scaled so that the largest is 100.

Most intense lines, 2θ = 10–90°, in order of rising 2θ:
| Position (°2θ) | d [Å] | Rel. int. |
| --- | --- | --- |
| 30.53 | 2.929 | 96 |
| 30.58 | 2.923 | 100 |
| 39.78 | 2.266 | 11 |
| 43.72 | 2.070 | 23 |
| 43.83 | 2.066 | 11 |
| 51.02 | 1.790 | 8 |
| 54.21 | 1.692 | 26 |
| 54.35 | 1.688 | 24 |
| 60.59 | 1.528 | 12 |
| 60.66 | 1.527 | 21 |
| 63.65 | 1.462 | 8 |
| 77.66 | 1.230 | 9 |

Lattice parameters (Å, degrees): 7.160 10.117 5.868 90.00 90.00 90.00
Fractional positions:
La1 0.249 0.167 0.000
La2 0.251 0.667 0.500
La3 0.749 0.333 0.500
La4 0.751 0.833 0.000
Pm1 0.000 0.000 0.500
Pm2 0.250 0.333 0.500
Pm3 0.250 0.833 0.000
Pm4 0.500 0.500 0.000
Pm5 0.750 0.167 0.000
Pm6 0.750 0.667 0.500
Pr1 0.000 0.500 0.000
Pr2 0.500 0.000 0.500

---

Record 2
Structure and simulated powder diffraction line list of Ce8Ir3Os2 (a GGA-PBE-relaxed structure; copper Kα).
Intensities are scaled so that the largest is 100.

Most intense lines, 2θ = 10–90°, in order of rising 2θ:
| Position (°2θ) | d [Å] | Rel. int. |
| --- | --- | --- |
| 14.26 | 6.210 | 32 |
| 26.32 | 3.386 | 16 |
| 31.18 | 2.869 | 55 |
| 32.34 | 2.769 | 100 |
| 35.06 | 2.560 | 11 |
| 43.92 | 2.061 | 36 |
| 46.30 | 1.961 | 17 |
| 46.45 | 1.955 | 23 |
| 47.10 | 1.929 | 33 |
| 54.13 | 1.694 | 9 |
| 57.02 | 1.615 | 16 |
| 76.87 | 1.240 | 12 |

Lattice parameters (Å, degrees): 8.262 8.262 6.669 108.73 108.73 56.48
Fractional positions:
Ce1 0.111 0.111 0.236
Ce2 0.136 0.623 0.237
Ce3 0.343 0.343 0.729
Ce4 0.377 0.864 0.763
Ce5 0.623 0.136 0.237
Ce6 0.657 0.657 0.271
Ce7 0.864 0.377 0.763
Ce8 0.889 0.889 0.764
Ir1 0.000 0.000 0.500
Ir2 0.296 0.704 0.000
Ir3 0.704 0.296 0.000
Os1 0.245 0.245 0.032
Os2 0.755 0.755 0.968

---

Record 3
Structure and simulated powder diffraction line list of CrCu4Re (a GGA-PBE-relaxed structure; copper Kα).
Intensities are scaled so that the largest is 100.

Most intense lines, 2θ = 10–90°, in order of rising 2θ:
| Position (°2θ) | d [Å] | Rel. int. |
| --- | --- | --- |
| 22.92 | 3.880 | 17 |
| 26.53 | 3.360 | 16 |
| 37.86 | 2.376 | 44 |
| 44.72 | 2.026 | 100 |
| 46.83 | 1.940 | 27 |
| 60.00 | 1.542 | 4 |
| 61.73 | 1.503 | 7 |
| 68.38 | 1.372 | 15 |
| 73.18 | 1.293 | 29 |
| 80.92 | 1.188 | 21 |
| 85.48 | 1.136 | 4 |
| 86.99 | 1.120 | 4 |

Lattice parameters (Å, degrees): 4.752 4.752 4.752 60.00 60.00 60.00
Fractional positions:
Cr1 0.000 0.000 0.000
Cu1 0.125 0.625 0.625
Cu2 0.625 0.125 0.625
Cu3 0.625 0.625 0.125
Cu4 0.625 0.625 0.625
Re1 0.250 0.250 0.250

---

Record 4
Structure and simulated powder diffraction line list of Pm9TlSn2 (a GGA-PBE-relaxed structure; copper Kα).
Intensities are scaled so that the largest is 100.

Most intense lines, 2θ = 10–90°, in order of rising 2θ:
| Position (°2θ) | d [Å] | Rel. int. |
| --- | --- | --- |
| 18.95 | 4.682 | 1 |
| 31.41 | 2.848 | 100 |
| 36.42 | 2.467 | 50 |
| 52.46 | 1.744 | 36 |
| 62.40 | 1.488 | 28 |
| 62.51 | 1.486 | 14 |
| 65.55 | 1.424 | 12 |
| 77.31 | 1.234 | 4 |
| 77.51 | 1.232 | 2 |
| 85.87 | 1.132 | 18 |
| 88.61 | 1.104 | 11 |
| 88.79 | 1.102 | 5 |

Lattice parameters (Å, degrees): 4.937 4.937 14.778 90.00 90.00 90.00
Fractional positions:
Pm1 0.000 0.000 0.000
Pm2 0.000 0.000 0.335
Pm3 0.000 0.000 0.665
Pm4 0.000 0.500 0.170
Pm5 0.000 0.500 0.500
Pm6 0.000 0.500 0.830
Pm7 0.500 0.000 0.170
Pm8 0.500 0.000 0.500
Pm9 0.500 0.000 0.830
Tl1 0.500 0.500 0.000
Sn1 0.500 0.500 0.333
Sn2 0.500 0.500 0.667

---

Record 5
Structure and simulated powder diffraction line list of Cu2Pd5Pt4 (a GGA-PBE-relaxed structure; copper Kα).
Intensities are scaled so that the largest is 100.

Most intense lines, 2θ = 10–90°, in order of rising 2θ:
| Position (°2θ) | d [Å] | Rel. int. |
| --- | --- | --- |
| 18.84 | 4.710 | 47 |
| 19.59 | 4.533 | 23 |
| 24.82 | 3.588 | 32 |
| 38.91 | 2.315 | 23 |
| 39.12 | 2.303 | 54 |
| 39.58 | 2.277 | 100 |
| 40.13 | 2.247 | 23 |
| 41.96 | 2.153 | 39 |
| 42.20 | 2.141 | 28 |
| 42.53 | 2.126 | 67 |
| 42.81 | 2.112 | 66 |
| 45.20 | 2.006 | 25 |

Lattice parameters (Å, degrees): 5.339 5.460 7.070 93.68 100.86 118.72
Fractional positions:
Cu1 0.031 0.376 0.341
Cu2 0.969 0.624 0.659
Pd1 0.016 0.859 0.325
Pd2 0.473 0.645 0.650
Pd3 0.500 0.500 0.000
Pd4 0.527 0.355 0.350
Pd5 0.984 0.141 0.675
Pt1 0.219 0.944 0.992
Pt2 0.487 0.146 0.689
Pt3 0.513 0.854 0.311
Pt4 0.781 0.056 0.008

---

Record 6
Structure and simulated powder diffraction line list of Pu2NpU3Se6 (a GGA-PBE-relaxed structure; copper Kα).
Intensities are scaled so that the largest is 100.

Most intense lines, 2θ = 10–90°, in order of rising 2θ:
| Position (°2θ) | d [Å] | Rel. int. |
| --- | --- | --- |
| 25.73 | 3.463 | 12 |
| 26.91 | 3.313 | 11 |
| 27.05 | 3.297 | 21 |
| 30.91 | 2.893 | 100 |
| 43.34 | 2.088 | 13 |
| 43.53 | 2.079 | 26 |
| 45.03 | 2.013 | 24 |
| 45.20 | 2.006 | 12 |
| 55.77 | 1.648 | 13 |
| 64.42 | 1.446 | 13 |
| 72.06 | 1.311 | 12 |
| 74.26 | 1.277 | 11 |

Lattice parameters (Å, degrees): 9.248 9.248 8.360 105.64 105.64 25.05
Fractional positions:
Pu1 0.166 0.166 0.333
Pu2 0.834 0.834 0.667
Np1 0.500 0.500 0.000
U1 0.167 0.167 0.834
U2 0.500 0.500 0.500
U3 0.833 0.833 0.166
Se1 0.000 0.000 0.249
Se2 0.000 0.000 0.751
Se3 0.333 0.333 0.417
Se4 0.334 0.334 0.916
Se5 0.666 0.666 0.084
Se6 0.667 0.667 0.583

---

Record 7
Structure and simulated powder diffraction line list of La3DyEr7 (a GGA-PBE-relaxed structure; copper Kα).
Intensities are scaled so that the largest is 100.

Most intense lines, 2θ = 10–90°, in order of rising 2θ:
| Position (°2θ) | d [Å] | Rel. int. |
| --- | --- | --- |
| 27.80 | 3.209 | 14 |
| 31.37 | 2.852 | 100 |
| 31.88 | 2.807 | 13 |
| 32.03 | 2.794 | 100 |
| 32.12 | 2.787 | 27 |
| 32.31 | 2.771 | 51 |
| 32.45 | 2.759 | 32 |
| 32.91 | 2.721 | 17 |
| 33.04 | 2.711 | 34 |
| 34.46 | 2.603 | 25 |
| 53.29 | 1.719 | 10 |
| 57.27 | 1.609 | 10 |

Lattice parameters (Å, degrees): 6.533 6.710 8.601 99.96 98.18 95.22
Fractional positions:
La1 0.000 0.000 0.000
La2 0.195 0.560 0.166
La3 0.805 0.440 0.834
Dy1 0.500 0.000 0.500
Er1 0.012 0.770 0.577
Er2 0.285 0.275 0.788
Er3 0.437 0.792 0.852
Er4 0.500 0.500 0.500
Er5 0.563 0.208 0.148
Er6 0.715 0.725 0.212
Er7 0.988 0.230 0.423

---

Record 8
Structure and simulated powder diffraction line list of Sr2Ir2Pd (a GGA-PBE-relaxed structure; copper Kα).
Intensities are scaled so that the largest is 100.

Most intense lines, 2θ = 10–90°, in order of rising 2θ:
| Position (°2θ) | d [Å] | Rel. int. |
| --- | --- | --- |
| 18.71 | 4.742 | 36 |
| 28.75 | 3.105 | 11 |
| 31.95 | 2.801 | 21 |
| 34.53 | 2.598 | 100 |
| 37.95 | 2.371 | 28 |
| 41.11 | 2.195 | 28 |
| 45.53 | 1.992 | 15 |
| 47.20 | 1.926 | 13 |
| 51.20 | 1.784 | 12 |
| 57.18 | 1.611 | 21 |
| 62.10 | 1.495 | 12 |
| 66.37 | 1.409 | 15 |

Lattice parameters (Å, degrees): 6.943 6.943 4.742 90.00 90.00 90.00
Fractional positions:
Sr1 0.180 0.320 0.000
Sr2 0.320 0.820 0.000
Sr3 0.680 0.180 0.000
Sr4 0.820 0.680 0.000
Ir1 0.124 0.624 0.500
Ir2 0.376 0.124 0.500
Ir3 0.624 0.876 0.500
Ir4 0.876 0.376 0.500
Pd1 0.000 0.000 0.500
Pd2 0.500 0.500 0.500